Mg2OsN3: theoretical X-ray powder pattern (a wavelength of 1.5418 Å), based on a GGA-PBE-relaxed structure.

Crystal structure
abc: 10.145 5.951 5.194
angles: 90.00 90.00 90.00
Space group Cmc2_1 (No. 36)
Unique sites:
Mg (0.163, 0.177, 0.000) (multiplicity 8)
Os (0.000, 0.308, 0.511) (multiplicity 4)
N (0.000, 0.381, 0.879) (multiplicity 4)
N (0.157, 0.168, 0.410) (multiplicity 8)

The 10 most intense peaks (2θ = 10–90°), low angle first:
index  two_theta  I_rel
2 0 0  17.48  62.2
1 1 1  24.38  100.0
0 2 0  30.03  21.3
3 1 0  30.40  15.6
0 0 2  34.54  26.8
0 2 1  34.75  16.2
3 1 1  35.07  64.0
2 0 2  38.94  19.1
3 1 3  62.23  16.9
3 3 2  65.29  20.2